# Ti7B8Ir2Rh4
Computed X-ray diffraction stick pattern, CuKα. Input: the PBE geometry in the Materials Project.
Intensities are scaled so that the largest is 100.

Atomic structure:
Cell: 9.265 3.199 9.269 Å, 90.00 119.93 90.00°
Space group Pm (No. 6)
Asymmetric unit:
Ti 0.000 0.000 0.000 [1 per cell]
Ti 0.085 0.000 0.362 [1 per cell]
Ti 0.274 0.000 0.914 [1 per cell]
Ti 0.360 0.000 0.275 [1 per cell]
Ti 0.446 0.000 0.636 [1 per cell]
Ti 0.636 0.000 0.190 [1 per cell]
Ti 0.722 0.000 0.551 [1 per cell]
B 0.027 0.000 0.609 [1 per cell]
B 0.143 0.500 0.211 [1 per cell]
B 0.207 0.500 0.058 [1 per cell]
B 0.297 0.500 0.428 [1 per cell]
B 0.424 0.500 0.122 [1 per cell]
B 0.513 0.500 0.492 [1 per cell]
B 0.577 0.500 0.339 [1 per cell]
B 0.694 0.000 0.942 [1 per cell]
Ir 0.515 0.500 0.922 [1 per cell]
Ir 0.853 0.500 0.120 [1 per cell]
Rh 0.006 0.500 0.766 [1 per cell]
Rh 0.205 0.500 0.629 [1 per cell]
Rh 0.714 0.500 0.783 [1 per cell]
Rh 0.870 0.500 0.431 [1 per cell]

The 6 most intense peaks (5 to 70 degrees two-theta), by angle:
2θ 11.0, I = 100, (1 0 -1); 2θ 29.4, I = 36, (2 0 1); 2θ 30.1, I = 39, (1 1 -1); 2θ 40.5, I = 74, (1 0 3); 2θ 41.0, I = 99, (2 1 -3); 2θ 44.1, I = 32, (3 1 0)

=====

# CsRbMg14
Computed X-ray diffraction stick pattern, CuKα. Input: the PBE geometry in the Materials Project.
Intensities are scaled so that the largest is 100.

Atomic structure:
Cell: 11.293 6.697 11.703 Å, 90.00 90.00 90.00°
Space group Amm2 (No. 38)
Asymmetric unit:
Cs 0.000 0.000 0.000 [2 per cell]
Rb 0.000 0.000 0.503 [2 per cell]
Mg 0.000 0.247 0.252 [4 per cell]
Mg 0.254 0.000 0.745 [4 per cell]
Mg 0.255 0.000 0.247 [4 per cell]
Mg 0.298 0.247 0.495 [8 per cell]
Mg 0.500 0.000 0.093 [2 per cell]
Mg 0.500 0.000 0.593 [2 per cell]
Mg 0.500 0.250 0.321 [4 per cell]

The 6 most intense peaks (5 to 70 degrees two-theta), by angle:
2θ 7.8, I = 46, (1 0 0); 2θ 17.1, I = 28, (1 0 2); 2θ 30.6, I = 25, (0 0 4); 2θ 31.7, I = 65, (4 0 0); 2θ 34.7, I = 100, (2 2 2); 2θ 39.0, I = 23, (3 0 4)

=====

# SrPO4
Computed X-ray diffraction stick pattern, CuKα. Input: the PBE geometry in the Materials Project.
Intensities are scaled so that the largest is 100.

Atomic structure:
Cell: 6.885 7.280 7.309 Å, 78.70 83.25 89.59°
Space group P-1 (No. 2)
Asymmetric unit:
Sr 0.053 0.195 0.245 [2 per cell]
Sr 0.358 0.684 0.311 [2 per cell]
P 0.123 0.296 0.710 [2 per cell]
P 0.450 0.795 0.783 [2 per cell]
O 0.006 0.161 0.622 [2 per cell]
O 0.015 0.543 0.248 [2 per cell]
O 0.183 0.196 0.903 [2 per cell]
O 0.305 0.375 0.575 [2 per cell]
O 0.315 0.808 0.964 [2 per cell]
O 0.316 0.791 0.628 [2 per cell]
O 0.402 0.040 0.274 [2 per cell]
O 0.427 0.385 0.177 [2 per cell]

The 6 most intense peaks (5 to 70 degrees two-theta), by angle:
2θ 25.0, I = 100, (0 0 2); 2θ 25.6, I = 29, (0 2 1); 2θ 28.8, I = 38, (2 -1 0); 2θ 29.2, I = 21, (2 1 0); 2θ 30.1, I = 26, (0 2 -1); 2θ 31.8, I = 20, (0 2 2)

=====

# K3Ag2P5O20
Computed X-ray diffraction stick pattern, CuKα. Input: the PBE geometry in the Materials Project.
Intensities are scaled so that the largest is 100.

Atomic structure:
Cell: 7.355 10.523 13.978 Å, 77.95 87.57 75.36°
Space group P-1 (No. 2)
Asymmetric unit:
K 0.104 0.047 0.104 [2 per cell]
K 0.158 0.372 0.250 [2 per cell]
K 0.223 0.807 0.519 [2 per cell]
Ag 0.201 0.461 0.946 [2 per cell]
Ag 0.295 0.161 0.847 [2 per cell]
P 0.181 0.674 0.097 [2 per cell]
P 0.300 0.737 0.781 [2 per cell]
P 0.313 0.496 0.710 [2 per cell]
P 0.335 0.720 0.274 [2 per cell]
P 0.439 0.804 0.956 [2 per cell]
O 0.029 0.802 0.079 [2 per cell]
O 0.122 0.721 0.834 [2 per cell]
O 0.142 0.545 0.081 [2 per cell]
O 0.185 0.578 0.627 [2 per cell]
O 0.199 0.757 0.351 [2 per cell]
O 0.208 0.391 0.461 [2 per cell]
O 0.223 0.131 0.716 [2 per cell]
O 0.229 0.413 0.794 [2 per cell]
O 0.247 0.086 0.405 [2 per cell]
O 0.255 0.633 0.209 [2 per cell]
O 0.273 0.281 0.515 [2 per cell]
O 0.293 0.935 0.939 [2 per cell]
O 0.295 0.846 0.693 [2 per cell]
O 0.326 0.061 0.328 [2 per cell]
O 0.363 0.206 0.012 [2 per cell]
O 0.367 0.690 0.035 [2 per cell]
O 0.404 0.828 0.204 [2 per cell]
O 0.416 0.593 0.754 [2 per cell]
O 0.462 0.739 0.859 [2 per cell]
O 0.493 0.400 0.670 [2 per cell]

The 6 most intense peaks (5 to 70 degrees two-theta), by angle:
2θ 6.5, I = 100, (0 0 1); 2θ 8.9, I = 9, (0 1 0); 2θ 14.1, I = 13, (1 0 1); 2θ 25.0, I = 21, (2 0 0); 2θ 28.4, I = 15, (2 1 -2); 2θ 29.4, I = 14, (1 2 4)

=====

# CuCl
Computed X-ray diffraction stick pattern, CuKα. Input: the PBE geometry in the Materials Project.
Intensities are scaled so that the largest is 100.

Atomic structure:
Cell: 3.8280 3.8280 6.2856 Å, 90.00 90.00 120.00°
Space group P6_3mc (No. 186)
Asymmetric unit:
Cu 0.3333 0.6667 0.0000 [2 per cell]
Cl 0.3333 0.6667 0.6267 [2 per cell]

The 6 most intense peaks (5 to 70 degrees two-theta), by angle:
2θ 26.9, I = 100, (1 0 0); 2θ 28.4, I = 62, (0 0 2); 2θ 30.5, I = 100, (1 0 1); 2θ 47.5, I = 76, (1 1 0); 2θ 51.6, I = 77, (1 0 3); 2θ 56.3, I = 48, (1 1 2)

=====

# Sr4LiSm2Ta2O12
Computed X-ray diffraction stick pattern, CuKα. Input: the PBE geometry in the Materials Project.
Intensities are scaled so that the largest is 100.

Atomic structure:
Cell: 5.939 6.050 8.489 Å, 90.69 91.80 90.07°
Space group P1 (No. 1)
Asymmetric unit:
Sr 0.000 0.000 0.000 [1 per cell]
Sr 0.000 0.082 0.498 [1 per cell]
Sr 0.495 0.495 0.017 [1 per cell]
Sr 0.525 0.608 0.454 [1 per cell]
Li 0.367 0.436 0.694 [1 per cell]
Sm 0.503 0.048 0.245 [1 per cell]
Sm 0.960 0.539 0.750 [1 per cell]
Ta 0.010 0.541 0.248 [1 per cell]
Ta 0.491 0.017 0.746 [1 per cell]
O 0.097 0.504 0.486 [1 per cell]
O 0.193 0.271 0.196 [1 per cell]
O 0.203 0.211 0.780 [1 per cell]
O 0.285 0.730 0.210 [1 per cell]
O 0.324 0.731 0.785 [1 per cell]
O 0.415 0.004 0.512 [1 per cell]
O 0.577 0.060 0.977 [1 per cell]
O 0.649 0.322 0.700 [1 per cell]
O 0.732 0.352 0.280 [1 per cell]
O 0.780 0.861 0.704 [1 per cell]
O 0.820 0.815 0.294 [1 per cell]
O 0.916 0.572 0.015 [1 per cell]

The 6 most intense peaks (5 to 70 degrees two-theta), by angle:
2θ 21.0, I = 56, (0 0 2); 2θ 29.6, I = 100, (-1 1 2); 2θ 30.0, I = 46, (1 -1 2); 2θ 30.1, I = 48, (2 0 0); 2θ 30.3, I = 49, (1 1 2); 2θ 42.7, I = 71, (0 0 4)

=====

Copy entry 6 word for word.
# Sr4LiSm2Ta2O12
Computed X-ray diffraction stick pattern, CuKα. Input: the PBE geometry in the Materials Project.
Intensities are scaled so that the largest is 100.

Atomic structure:
Cell: 5.939 6.050 8.489 Å, 90.69 91.80 90.07°
Space group P1 (No. 1)
Asymmetric unit:
Sr 0.000 0.000 0.000 [1 per cell]
Sr 0.000 0.082 0.498 [1 per cell]
Sr 0.495 0.495 0.017 [1 per cell]
Sr 0.525 0.608 0.454 [1 per cell]
Li 0.367 0.436 0.694 [1 per cell]
Sm 0.503 0.048 0.245 [1 per cell]
Sm 0.960 0.539 0.750 [1 per cell]
Ta 0.010 0.541 0.248 [1 per cell]
Ta 0.491 0.017 0.746 [1 per cell]
O 0.097 0.504 0.486 [1 per cell]
O 0.193 0.271 0.196 [1 per cell]
O 0.203 0.211 0.780 [1 per cell]
O 0.285 0.730 0.210 [1 per cell]
O 0.324 0.731 0.785 [1 per cell]
O 0.415 0.004 0.512 [1 per cell]
O 0.577 0.060 0.977 [1 per cell]
O 0.649 0.322 0.700 [1 per cell]
O 0.732 0.352 0.280 [1 per cell]
O 0.780 0.861 0.704 [1 per cell]
O 0.820 0.815 0.294 [1 per cell]
O 0.916 0.572 0.015 [1 per cell]

The 6 most intense peaks (5 to 70 degrees two-theta), by angle:
2θ 21.0, I = 56, (0 0 2); 2θ 29.6, I = 100, (-1 1 2); 2θ 30.0, I = 46, (1 -1 2); 2θ 30.1, I = 48, (2 0 0); 2θ 30.3, I = 49, (1 1 2); 2θ 42.7, I = 71, (0 0 4)